This entry pairs a crystal structure of KMgInSn2 with its computed XRD peak list. Radiation: copper Kα. Structure: DFT lattice parameters and positions (GGA-PBE).
Lines closer than 0.1° are merged.

Largest 12 diffraction maxima, low angle first, 2θ from 10° to 90°:
2θ = 19.10°, 4.647 Å, intensity 100, (1 0 1); 2θ = 28.12°, 3.173 Å, intensity 64, (1 0 3); 2θ = 29.06°, 3.073 Å, intensity 59, (1 1 2); 2θ = 35.77°, 2.510 Å, intensity 71, (2 0 0); 2θ = 38.77°, 2.323 Å, intensity 78, (1 1 4); 2θ = 40.88°, 2.207 Å, intensity 68, (1 0 5); 2θ = 46.11°, 1.969 Å, intensity 33, (2 1 3); 2θ = 51.50°, 1.775 Å, intensity 28, (2 2 0); 2θ = 55.44°, 1.657 Å, intensity 40, (2 1 5); 2θ = 60.23°, 1.536 Å, intensity 22, (0 0 8); 2θ = 66.28°, 1.410 Å, intensity 34, (3 1 4); 2θ = 83.19°, 1.161 Å, intensity 21, (2 2 8)

Crystal structure
```
data_KMgInSn2
_chemical_formula_sum 'K2 Mg2 In2 Sn4'
_cell_length_a 5.020
_cell_length_b 5.020
_cell_length_c 12.284
_cell_angle_alpha 90.00
_cell_angle_beta 90.00
_cell_angle_gamma 90.00
_space_group_name_H-M_alt 'I -4 m 2'
_space_group_IT_number 119
_space_group_name_Hall 'I -4 -2'
loop_
_atom_site_label
_atom_site_type_symbol
_atom_site_fract_x
_atom_site_fract_y
_atom_site_fract_z
K1 K 0.000 0.000 0.000
Mg1 Mg 0.000 0.500 0.750
In1 In 0.000 0.500 0.250
Sn1 Sn 0.000 0.000 0.382
```

This entry pairs a crystal structure of ZnInHg with its computed XRD peak list. Radiation: copper Kα. Structure: DFT lattice parameters and positions (GGA-PBE).
Lines closer than 0.1° are merged.

Largest 12 diffraction maxima, low angle first, 2θ from 10° to 90°:
2θ = 14.25°, 6.217 Å, intensity 11, (0 0 2); 2θ = 28.01°, 3.186 Å, intensity 19, (1 1 1); 2θ = 34.78°, 2.579 Å, intensity 100, (1 1 3); 2θ = 35.37°, 2.538 Å, intensity 25, (0 2 0); 2θ = 41.69°, 2.167 Å, intensity 16, (2 0 0); 2θ = 43.68°, 2.072 Å, intensity 11, (0 0 6); 2θ = 55.79°, 1.648 Å, intensity 13, (2 2 0); 2θ = 57.41°, 1.605 Å, intensity 10, (0 2 6); 2θ = 59.08°, 1.564 Å, intensity 9, (1 1 7); 2θ = 63.11°, 1.473 Å, intensity 17, (1 3 3); 2θ = 71.64°, 1.317 Å, intensity 12, (3 1 3); 2θ = 73.42°, 1.290 Å, intensity 10, (2 2 6)

Crystal structure
```
data_ZnInHg
_chemical_formula_sum 'Zn4 In4 Hg4'
_cell_length_a 4.333
_cell_length_b 5.075
_cell_length_c 12.434
_cell_angle_alpha 90.00
_cell_angle_beta 90.00
_cell_angle_gamma 90.00
_space_group_name_H-M_alt 'F m m 2'
_space_group_IT_number 42
_space_group_name_Hall 'F 2 -2'
loop_
_atom_site_label
_atom_site_type_symbol
_atom_site_fract_x
_atom_site_fract_y
_atom_site_fract_z
Zn1 Zn 0.000 0.000 0.000
In1 In 0.000 0.000 0.341
Hg1 Hg 0.000 0.000 0.649
```

This entry pairs a crystal structure of LaDyTcAg with its computed XRD peak list. Radiation: copper Kα. Structure: DFT lattice parameters and positions (GGA-PBE).
Lines closer than 0.1° are merged.

Largest 10 diffraction maxima, low angle first, 2θ from 10° to 90°:
2θ = 21.38°, 4.156 Å, intensity 1, (1 1 1); 2θ = 24.74°, 3.599 Å, intensity 3, (2 0 0); 2θ = 35.27°, 2.545 Å, intensity 100, (2 2 0); 2θ = 43.56°, 2.078 Å, intensity 1, (2 2 2); 2θ = 50.73°, 1.800 Å, intensity 18, (4 0 0); 2θ = 57.24°, 1.610 Å, intensity 2, (4 2 0); 2θ = 63.29°, 1.469 Å, intensity 36, (4 2 2); 2θ = 74.58°, 1.272 Å, intensity 11, (4 4 0); 2θ = 79.97°, 1.200 Å, intensity 1, (6 0 0); 2θ = 85.28°, 1.138 Å, intensity 16, (6 2 0)

Crystal structure
```
data_LaDyTcAg
_chemical_formula_sum 'La4 Dy4 Tc4 Ag4'
_cell_length_a 7.198
_cell_length_b 7.198
_cell_length_c 7.198
_cell_angle_alpha 90.00
_cell_angle_beta 90.00
_cell_angle_gamma 90.00
_space_group_name_H-M_alt 'F -4 3 m'
_space_group_IT_number 216
_space_group_name_Hall 'F -4 2 3'
loop_
_atom_site_label
_atom_site_type_symbol
_atom_site_fract_x
_atom_site_fract_y
_atom_site_fract_z
La1 La 0.000 0.000 0.000
Dy1 Dy 0.000 0.000 0.500
Tc1 Tc 0.250 0.250 0.750
Ag1 Ag 0.250 0.250 0.250
```

This entry pairs a crystal structure of AcAl9Co2 with its computed XRD peak list. Radiation: copper Kα. Structure: DFT lattice parameters and positions (GGA-PBE).
Lines closer than 0.1° are merged.

Largest 12 diffraction maxima, low angle first, 2θ from 10° to 90°:
2θ = 16.76°, 5.291 Å, intensity 38, (2 0 0); 2θ = 22.55°, 3.943 Å, intensity 100, (2 1 1); 2θ = 27.72°, 3.218 Å, intensity 46, (1 1 2); 2θ = 33.00°, 2.714 Å, intensity 60, (3 2 1); 2θ = 33.88°, 2.646 Å, intensity 25, (4 0 0); 2θ = 36.84°, 2.440 Å, intensity 82, (3 1 2); 2θ = 38.03°, 2.366 Å, intensity 47, (4 2 0); 2θ = 38.84°, 2.319 Å, intensity 31, (1 0 3); 2θ = 48.02°, 1.894 Å, intensity 21, (5 2 1); 2θ = 54.29°, 1.690 Å, intensity 24, (2 0 4); 2θ = 57.24°, 1.609 Å, intensity 25, (2 2 4); 2θ = 67.93°, 1.380 Å, intensity 21, (5 5 2)

Crystal structure
```
data_AcAl9Co2
_chemical_formula_sum 'Ac4 Al36 Co8'
_cell_length_a 10.582
_cell_length_b 10.582
_cell_length_c 7.129
_cell_angle_alpha 90.00
_cell_angle_beta 90.00
_cell_angle_gamma 90.00
_space_group_name_H-M_alt 'I 41/a m d'
_space_group_IT_number 141
loop_
_space_group_symop_operation_xyz
'x,y,z'
'-x,-y,-z'
'-y+1/4,x+3/4,z+1/4'
'y+1/4,-x+3/4,-z+1/4'
'-x+1/2,-y,z+1/2'
'x+1/2,y,-z+1/2'
'y+1/4,-x+1/4,z+3/4'
'-y+1/4,x+1/4,-z+3/4'
'x,-y,-z'
'-x,y,z'
'-y+1/4,-x+1/4,-z+3/4'
'y+1/4,x+1/4,z+3/4'
'-x+1/2,y,-z+1/2'
'x+1/2,-y,z+1/2'
'y+1/4,x+3/4,-z+1/4'
'-y+1/4,-x+3/4,z+1/4'
'x+1/2,y+1/2,z+1/2'
'-x+1/2,-y+1/2,-z+1/2'
'-y+3/4,x+1/4,z+3/4'
'y+3/4,-x+1/4,-z+3/4'
'-x,-y+1/2,z'
'x,y+1/2,-z'
'y+3/4,-x+3/4,z+1/4'
'-y+3/4,x+3/4,-z+1/4'
'x+1/2,-y+1/2,-z+1/2'
'-x+1/2,y+1/2,z+1/2'
'-y+3/4,-x+3/4,-z+1/4'
'y+3/4,x+3/4,z+1/4'
'-x,y+1/2,-z'
'x,-y+1/2,z'
'y+3/4,x+1/4,-z+3/4'
'-y+3/4,-x+1/4,z+3/4'
loop_
_atom_site_label
_atom_site_type_symbol
_atom_site_fract_x
_atom_site_fract_y
_atom_site_fract_z
Ac1 Ac 0.000 0.250 0.375
Al1 Al 0.000 0.250 0.875
Al2 Al 0.124 0.050 0.698
Co1 Co 0.000 0.000 0.000
```

This entry pairs a crystal structure of La2Y6Er5 with its computed XRD peak list. Radiation: copper Kα. Structure: DFT lattice parameters and positions (GGA-PBE).
Lines closer than 0.1° are merged.

Largest 12 diffraction maxima, low angle first, 2θ from 10° to 90°:
2θ = 27.45°, 3.249 Å, intensity 20, (1 6 0); 2θ = 30.66°, 2.916 Å, intensity 46, (4 1 0); 2θ = 31.44°, 2.845 Å, intensity 53, (1 4 1); 2θ = 31.62°, 2.829 Å, intensity 26, (4 2 0); 2θ = 31.72°, 2.821 Å, intensity 26, (3 5 0); 2θ = 31.84°, 2.811 Å, intensity 57, (1 7 0); 2θ = 32.03°, 2.794 Å, intensity 100, (2 3 1); 2θ = 34.14°, 2.626 Å, intensity 35, (2 4 1); 2θ = 35.03°, 2.562 Å, intensity 27, (3 6 0); 2θ = 36.39°, 2.469 Å, intensity 25, (3 3 1); 2θ = 50.79°, 1.798 Å, intensity 21, (0 0 2); 2θ = 62.64°, 1.483 Å, intensity 20, (5 9 1)

Crystal structure
```
data_La2Y6Er5
_chemical_formula_sum 'La4 Y12 Er10'
_cell_length_a 11.786
_cell_length_b 20.259
_cell_length_c 3.595
_cell_angle_alpha 90.00
_cell_angle_beta 90.00
_cell_angle_gamma 90.00
_space_group_name_H-M_alt 'P b a m'
_space_group_IT_number 55
loop_
_space_group_symop_operation_xyz
'x,y,z'
'-x,-y,-z'
'-x,-y,z'
'x,y,-z'
'x+1/2,-y+1/2,-z'
'-x+1/2,y+1/2,z'
'-x+1/2,y+1/2,-z'
'x+1/2,-y+1/2,z'
loop_
_atom_site_label
_atom_site_type_symbol
_atom_site_fract_x
_atom_site_fract_y
_atom_site_fract_z
La1 La 0.163 0.219 0.000
Y1 Y 0.057 0.923 0.000
Y2 Y 0.081 0.635 0.000
Y3 Y 0.179 0.378 0.500
Er1 Er 0.000 0.500 0.500
Er2 Er 0.099 0.779 0.500
Er3 Er 0.200 0.050 0.500
```

This entry pairs a crystal structure of K3Cd16 with its computed XRD peak list. Radiation: copper Kα. Structure: DFT lattice parameters and positions (GGA-PBE).
Lines closer than 0.1° are merged.

Largest 12 diffraction maxima, low angle first, 2θ from 10° to 90°:
2θ = 13.54°, 6.539 Å, intensity 43, (1 1 0); 2θ = 19.19°, 4.624 Å, intensity 10, (2 0 0); 2θ = 30.57°, 2.925 Å, intensity 58, (3 1 0); 2θ = 37.43°, 2.402 Å, intensity 100, (2 1 4); 2θ = 38.95°, 2.312 Å, intensity 22, (4 0 0); 2θ = 41.42°, 2.180 Å, intensity 20, (3 3 0); 2θ = 46.93°, 1.936 Å, intensity 10, (3 2 4); 2θ = 51.15°, 1.786 Å, intensity 12, (4 1 4); 2θ = 56.27°, 1.635 Å, intensity 7, (4 4 0); 2θ = 62.58°, 1.484 Å, intensity 31, (5 2 4); 2θ = 71.63°, 1.317 Å, intensity 7, (3 1 8); 2θ = 78.82°, 1.214 Å, intensity 8, (7 3 0)

Crystal structure
```
data_K3Cd16
_chemical_formula_sum 'K6 Cd32'
_cell_length_a 9.248
_cell_length_b 9.248
_cell_length_c 11.806
_cell_angle_alpha 90.00
_cell_angle_beta 90.00
_cell_angle_gamma 90.00
_space_group_name_H-M_alt 'P 4/n n c'
_space_group_IT_number 126
loop_
_space_group_symop_operation_xyz
'x,y,z'
'-x,-y,-z'
'-y+1/2,x,z'
'y+1/2,-x,-z'
'-x+1/2,-y+1/2,z'
'x+1/2,y+1/2,-z'
'y,-x+1/2,z'
'-y,x+1/2,-z'
'x,-y+1/2,-z+1/2'
'-x,y+1/2,z+1/2'
'-y+1/2,-x+1/2,-z+1/2'
'y+1/2,x+1/2,z+1/2'
'-x+1/2,y,-z+1/2'
'x+1/2,-y,z+1/2'
'y,x,-z+1/2'
'-y,-x,z+1/2'
loop_
_atom_site_label
_atom_site_type_symbol
_atom_site_fract_x
_atom_site_fract_y
_atom_site_fract_z
K1 K 0.250 0.250 0.084
K2 K 0.250 0.250 0.750
Cd1 Cd 0.093 0.612 0.062
Cd2 Cd 0.099 0.606 0.812
```